[1]
Diffraction record for CuBPt4. The powder diffractogram is calculated, not measured: it uses a DFT-relaxed cell (GGA-PBE, Alexandria) and a wavelength of 1.5418 Å.

Principal peaks in the range 2θ from 10° to 80°, most intense first:
two_theta  I_rel
39.94  100
45.35  81
31.91  81
46.48  77
31.36  73
52.01  64
32.88  56
75.56  37
66.71  29
75.45  26
75.86  13
47.82  12

Crystal structure
```
CuBPt4
1.0
2.8045 -2.8043 0.0000
2.8045 2.8043 0.0000
-1.3917 0.0000 5.7058
Cu B Pt
1 1 4
direct
0.0000 0.0000 0.0000 Cu
0.5998 0.5998 0.4476 B
0.0638 0.5642 0.2810 Pt
0.4400 0.9499 0.7221 Pt
0.5642 0.0638 0.2810 Pt
0.9499 0.4400 0.7221 Pt
```

---

[2]
Diffraction record for Ce2Pm3YSb6. The powder diffractogram is calculated, not measured: it uses a DFT-relaxed cell (GGA-PBE, Alexandria) and a wavelength of 1.5418 Å.

Principal peaks in the range 2θ from 10° to 80°, most intense first:
two_theta  I_rel
28.19  100
40.29  76
65.97  29
49.90  27
73.25  19
58.29  13
66.06  6
73.16  4
73.33  2
24.35  1

Crystal structure
```
Ce2Pm3YSb6
1.0
9.7533 -2.2385 0.0000
9.7533 2.2385 0.0000
-2.0715 0.0000 8.7182
Ce Pm Y Sb
2 3 1 6
direct
0.1657 0.1657 0.3318 Ce
0.8343 0.8343 0.6682 Ce
0.1669 0.1669 0.8344 Pm
0.5000 0.5000 0.5000 Pm
0.8331 0.8331 0.1656 Pm
0.5000 0.5000 0.0000 Y
0.0000 0.0000 0.2458 Sb
0.0000 0.0000 0.7542 Sb
0.3328 0.3328 0.4174 Sb
0.3351 0.3351 0.9166 Sb
0.6649 0.6649 0.0834 Sb
0.6672 0.6672 0.5826 Sb
```

---

[3]
Diffraction record for InAgPt2. The powder diffractogram is calculated, not measured: it uses a DFT-relaxed cell (GGA-PBE, Alexandria) and a wavelength of 1.5418 Å.

Principal peaks in the range 2θ from 10° to 80°, most intense first:
two_theta  I_rel
37.80  100
38.35  96
43.14  69
65.22  40
46.42  28
75.19  27
76.26  26
61.87  12
22.73  11
63.42  11
49.30  6
29.79  6

Crystal structure
```
InAgPt2
1.0
2.9332 -3.9122 0.0000
2.9332 3.9122 0.0000
0.0000 0.0000 2.9992
In Ag Pt
1 1 2
direct
0.0000 0.0000 0.0000 In
0.5000 0.5000 0.0000 Ag
0.0000 0.5000 0.5000 Pt
0.5000 0.0000 0.5000 Pt
```